# 1
This entry pairs a crystal structure of MgCr2Cu with its computed powder X-ray diffraction pattern. Radiation: Cu Kα X-rays. Structure: a DFT-relaxed cell (GGA-PBE, Alexandria).
Lines closer than 0.1° are merged.

The 10 most intense peaks (15 to 90 degrees two-theta), low angle first:
d 3.007, intensity 7; d 2.184, intensity 100; d 2.126, intensity 54; d 2.016, intensity 7; d 1.732, intensity 12; d 1.503, intensity 16; d 1.273, intensity 9; d 1.238, intensity 27; d 1.135, intensity 5; d 1.092, intensity 9

Crystal structure
abc: 3.0066 3.0066 6.3569
angles: 90.00 90.00 90.00
Positions (direct):
Mg  0.0000  0.0000  0.0000
Cr  0.0000  0.0000  0.4853
Cr  0.5000  0.5000  0.3120
Cu  0.5000  0.5000  0.7387

# 2
This entry pairs a crystal structure of Mg14CrCu with its computed powder X-ray diffraction pattern. Radiation: Cu Kα X-rays. Structure: a DFT-relaxed cell (GGA-PBE, Alexandria).
Lines closer than 0.1° are merged.

The 10 most intense peaks (15 to 90 degrees two-theta), low angle first:
d 4.756, intensity 7; d 2.695, intensity 26; d 2.541, intensity 26; d 2.381, intensity 100; d 1.849, intensity 16; d 1.555, intensity 11; d 1.434, intensity 17; d 1.329, intensity 6; d 1.326, intensity 12; d 1.304, intensity 9

Crystal structure
abc: 10.1630 6.2193 6.2193
angles: 60.18 90.00 90.00
Positions (direct):
Mg  0.0000  0.0000  0.0000
Mg  0.0000  0.4961  0.9980
Mg  0.0000  0.4991  0.4991
Mg  0.0000  0.9980  0.4961
Mg  0.2519  0.8331  0.8331
Mg  0.2567  0.3333  0.3333
Mg  0.2683  0.3299  0.8253
Mg  0.2683  0.8253  0.3299
Mg  0.5000  0.0027  0.5059
Mg  0.5000  0.5059  0.0027
Mg  0.7317  0.3299  0.8253
Mg  0.7317  0.8253  0.3299
Mg  0.7433  0.3333  0.3333
Mg  0.7481  0.8331  0.8331
Cr  0.5000  0.9971  0.9971
Cu  0.5000  0.4967  0.4967

Q: Which formula does entry 1 have?
A: MgCr2Cu

What did the second record say?
This entry pairs a crystal structure of Mg14CrCu with its computed powder X-ray diffraction pattern. Radiation: Cu Kα X-rays. Structure: a DFT-relaxed cell (GGA-PBE, Alexandria).
Lines closer than 0.1° are merged.

The 10 most intense peaks (15 to 90 degrees two-theta), low angle first:
d 4.756, intensity 7; d 2.695, intensity 26; d 2.541, intensity 26; d 2.381, intensity 100; d 1.849, intensity 16; d 1.555, intensity 11; d 1.434, intensity 17; d 1.329, intensity 6; d 1.326, intensity 12; d 1.304, intensity 9

Crystal structure
abc: 10.1630 6.2193 6.2193
angles: 60.18 90.00 90.00
Positions (direct):
Mg  0.0000  0.0000  0.0000
Mg  0.0000  0.4961  0.9980
Mg  0.0000  0.4991  0.4991
Mg  0.0000  0.9980  0.4961
Mg  0.2519  0.8331  0.8331
Mg  0.2567  0.3333  0.3333
Mg  0.2683  0.3299  0.8253
Mg  0.2683  0.8253  0.3299
Mg  0.5000  0.0027  0.5059
Mg  0.5000  0.5059  0.0027
Mg  0.7317  0.3299  0.8253
Mg  0.7317  0.8253  0.3299
Mg  0.7433  0.3333  0.3333
Mg  0.7481  0.8331  0.8331
Cr  0.5000  0.9971  0.9971
Cu  0.5000  0.4967  0.4967